(1)
For Y2CrN3, a cell relaxed with GGA-PBE gives the theoretical powder X-ray diffraction pattern in this record (Cu Kα, 1.54184 Å).

abc: 3.375 3.684 12.483
angles: 90.00 90.00 90.00
Positions (direct):
Y1 0.000 0.000 0.150
Y2 0.000 0.000 0.850
Y3 0.500 0.500 0.350
Y4 0.500 0.500 0.650
Cr1 0.000 0.000 0.500
Cr2 0.500 0.500 0.000
N1 0.000 0.000 0.339
N2 0.000 0.000 0.661
N3 0.000 0.500 0.500
N4 0.500 0.000 0.000
N5 0.500 0.500 0.161
N6 0.500 0.500 0.839

Largest 6 diffraction maxima, low angle first, 5 to 70 degrees two-theta:
2theta, intensity
32.46, 74
34.21, 85
36.09, 100
43.50, 26
57.76, 34
61.53, 29

(2)
For LiTi8O16, a cell relaxed with GGA-PBE gives the theoretical powder X-ray diffraction pattern in this record (Cu Kα, 1.54184 Å).

abc: 7.792 7.792 9.621
angles: 90.00 90.00 80.13
Positions (direct):
Li1 0.158 0.842 0.500
Li2 0.842 0.158 0.000
Ti1 0.016 0.235 0.600
Ti2 0.102 0.397 0.320
Ti3 0.148 0.852 0.821
Ti4 0.235 0.016 0.100
Ti5 0.272 0.475 0.591
Ti6 0.368 0.632 0.312
Ti7 0.397 0.102 0.820
Ti8 0.475 0.272 0.091
Ti9 0.525 0.728 0.591
Ti10 0.603 0.898 0.320
Ti11 0.632 0.368 0.812
Ti12 0.728 0.525 0.091
Ti13 0.765 0.984 0.600
Ti14 0.852 0.148 0.321
Ti15 0.898 0.603 0.820
Ti16 0.984 0.765 0.100
O1 0.027 0.973 0.993
O2 0.041 0.460 0.684
O3 0.084 0.166 0.228
O4 0.099 0.652 0.922
O5 0.154 0.603 0.421
O6 0.166 0.084 0.728
O7 0.212 0.788 0.185
O8 0.221 0.279 0.491
O9 0.279 0.221 0.991
O10 0.282 0.718 0.673
O11 0.336 0.412 0.231
O12 0.348 0.901 0.922
O13 0.397 0.846 0.421
O14 0.412 0.336 0.731
O15 0.460 0.041 0.184
O16 0.476 0.524 0.492
O17 0.524 0.476 0.992
O18 0.540 0.959 0.684
O19 0.588 0.664 0.231
O20 0.603 0.154 0.921
O21 0.652 0.099 0.422
O22 0.664 0.588 0.731
O23 0.718 0.282 0.173
O24 0.721 0.779 0.491
O25 0.779 0.721 0.991
O26 0.788 0.212 0.685
O27 0.834 0.916 0.228
O28 0.846 0.397 0.921
O29 0.901 0.348 0.422
O30 0.916 0.834 0.728
O31 0.959 0.540 0.184
O32 0.973 0.027 0.493

Largest 6 diffraction maxima, low angle first, 5 to 70 degrees two-theta:
2theta, intensity
19.97, 100
33.16, 31
35.42, 20
36.28, 22
39.86, 20
51.25, 25

(3)
For Zr2N2O, a cell relaxed with GGA-PBE gives the theoretical powder X-ray diffraction pattern in this record (Cu Kα, 1.54184 Å).

abc: 8.849 8.879 8.887
angles: 109.48 109.40 109.35
Positions (direct):
Zr1 0.000 0.000 0.000
Zr2 0.006 0.492 0.501
Zr3 0.041 0.704 0.243
Zr4 0.226 0.182 0.460
Zr5 0.257 0.470 0.223
Zr6 0.267 0.962 0.713
Zr7 0.294 0.745 0.962
Zr8 0.473 0.213 0.181
Zr9 0.491 0.920 0.420
Zr10 0.512 0.432 0.923
Zr11 0.540 0.713 0.750
Zr12 0.718 0.675 0.469
Zr13 0.745 0.964 0.205
Zr14 0.759 0.472 0.714
Zr15 0.787 0.253 0.969
Zr16 0.972 0.219 0.673
N1 0.016 0.450 0.246
N2 0.028 0.491 0.759
N3 0.241 0.688 0.167
N4 0.263 0.231 0.251
N5 0.287 0.727 0.701
N6 0.301 0.976 0.488
N7 0.481 0.426 0.668
N8 0.483 0.698 0.481
N9 0.518 0.690 0.990
N10 0.524 0.189 0.949
N11 0.528 0.008 0.224
N12 0.721 0.422 0.440
N13 0.749 0.000 0.979
N14 0.790 0.510 0.985
N15 0.807 0.738 0.749
N16 0.995 0.231 0.441
O1 0.027 0.222 0.936
O2 0.207 0.952 0.937
O3 0.216 0.199 0.729
O4 0.493 0.474 0.177
O5 0.715 0.186 0.680
O6 0.767 0.928 0.452
O7 0.981 0.742 0.475
O8 0.981 0.914 0.198

Largest 6 diffraction maxima, low angle first, 5 to 70 degrees two-theta:
2theta, intensity
30.17, 100
30.30, 33
35.01, 37
50.24, 17
50.37, 17
50.46, 16

(4)
For Ba2GdTaO6, a cell relaxed with GGA-PBE gives the theoretical powder X-ray diffraction pattern in this record (Cu Kα, 1.54184 Å).

abc: 6.076 6.076 6.076
angles: 120.22 120.22 89.62
Positions (direct):
Ba1 0.250 0.750 0.500
Ba2 0.750 0.250 0.500
Gd1 0.000 0.000 0.000
Ta1 0.500 0.500 0.000
O1 0.236 0.297 0.533
O2 0.266 0.266 0.000
O3 0.297 0.764 0.061
O4 0.703 0.236 0.939
O5 0.734 0.734 0.000
O6 0.764 0.703 0.467

Largest 6 diffraction maxima, low angle first, 5 to 70 degrees two-theta:
2theta, intensity
29.43, 100
42.20, 18
52.08, 14
52.27, 28
60.99, 12
69.37, 12

(5)
For CeThSi4, a cell relaxed with GGA-PBE gives the theoretical powder X-ray diffraction pattern in this record (Cu Kα, 1.54184 Å).

abc: 4.121 4.121 14.195
angles: 90.00 90.00 90.00
Positions (direct):
Ce1 0.000 0.000 0.000
Ce2 0.500 0.500 0.500
Th1 0.000 0.500 0.250
Th2 0.500 0.000 0.750
Si1 0.000 0.000 0.417
Si2 0.000 0.000 0.583
Si3 0.000 0.500 0.666
Si4 0.000 0.500 0.834
Si5 0.500 0.000 0.166
Si6 0.500 0.000 0.334
Si7 0.500 0.500 0.083
Si8 0.500 0.500 0.917

Largest 6 diffraction maxima, low angle first, 5 to 70 degrees two-theta:
2theta, intensity
22.47, 55
25.09, 26
28.73, 57
33.24, 100
38.51, 42
43.95, 30

(6)
For CsTi2Cl7, a cell relaxed with GGA-PBE gives the theoretical powder X-ray diffraction pattern in this record (Cu Kα, 1.54184 Å).

abc: 7.294 6.361 12.273
angles: 90.00 91.91 90.00
Positions (direct):
Cs1 0.000 0.126 0.250
Cs2 0.000 0.874 0.750
Ti1 0.432 0.259 0.569
Ti2 0.432 0.741 0.069
Ti3 0.568 0.259 0.931
Ti4 0.568 0.741 0.431
Cl1 0.150 0.370 0.621
Cl2 0.150 0.630 0.121
Cl3 0.291 0.077 0.998
Cl4 0.291 0.923 0.498
Cl5 0.389 0.431 0.389
Cl6 0.389 0.569 0.889
Cl7 0.500 0.094 0.750
Cl8 0.500 0.906 0.250
Cl9 0.611 0.431 0.111
Cl10 0.611 0.569 0.611
Cl11 0.709 0.077 0.502
Cl12 0.709 0.923 0.002
Cl13 0.850 0.370 0.879
Cl14 0.850 0.630 0.379

Largest 6 diffraction maxima, low angle first, 5 to 70 degrees two-theta:
2theta, intensity
19.22, 69
19.74, 73
28.93, 54
31.45, 76
31.64, 100
32.41, 68